[1]
Computed powder diffraction line list of Ba7ZrN6 for Cu Kα (weighted mean of Kα1 and Kα2), from a DFT-relaxed cell (GGA-PBE, Alexandria).

Top 6 peaks for 10° ≤ 2θ ≤ 90°, sorted by position:
2θ (°)	Rel. int.
27.71	100
28.03	36
28.57	44
28.88	22
30.70	35
34.73	20

Crystal structure
Unit cell a=12.4990 b=7.3237 c=15.0251 alpha=90.00 beta=90.00 gamma=90.00
Atoms (fractional coordinates):
Ba: 0.0000 0.0577 0.2500
Ba: 0.0000 0.9423 0.7500
Ba: 0.0057 0.2411 0.5265
Ba: 0.0057 0.7589 0.0265
Ba: 0.2199 0.4274 0.1224
Ba: 0.2199 0.5726 0.6224
Ba: 0.2304 0.2717 0.3728
Ba: 0.2304 0.7283 0.8728
Ba: 0.2696 0.2283 0.8728
Ba: 0.2696 0.7717 0.3728
Ba: 0.2801 0.0726 0.6224
Ba: 0.2801 0.9274 0.1224
Ba: 0.4943 0.2589 0.0265
Ba: 0.4943 0.7411 0.5265
Ba: 0.5000 0.4423 0.7500
Ba: 0.5000 0.5577 0.2500
Ba: 0.5057 0.2589 0.4735
Ba: 0.5057 0.7411 0.9735
Ba: 0.7199 0.0726 0.8776
Ba: 0.7199 0.9274 0.3776
Ba: 0.7304 0.2283 0.6272
Ba: 0.7304 0.7717 0.1272
Ba: 0.7696 0.2717 0.1272
Ba: 0.7696 0.7283 0.6272
Ba: 0.7801 0.4274 0.3776
Ba: 0.7801 0.5726 0.8776
Ba: 0.9943 0.2411 0.9735
Ba: 0.9943 0.7589 0.4735
Zr: 0.0000 0.4338 0.7500
Zr: 0.0000 0.5662 0.2500
Zr: 0.5000 0.0662 0.2500
Zr: 0.5000 0.9338 0.7500
N: 0.0183 0.3922 0.3605
N: 0.0183 0.6078 0.8605
N: 0.1322 0.2579 0.7197
N: 0.1322 0.7421 0.2197
N: 0.1645 0.0172 0.9828
N: 0.1645 0.9828 0.4828
N: 0.3355 0.4828 0.4828
N: 0.3355 0.5172 0.9828
N: 0.3678 0.2421 0.2197
N: 0.3678 0.7579 0.7197
N: 0.4817 0.1078 0.8605
N: 0.4817 0.8922 0.3605
N: 0.5183 0.1078 0.6395
N: 0.5183 0.8922 0.1395
N: 0.6322 0.2421 0.2803
N: 0.6322 0.7579 0.7803
N: 0.6645 0.4828 0.0172
N: 0.6645 0.5172 0.5172
N: 0.8355 0.0172 0.5172
N: 0.8355 0.9828 0.0172
N: 0.8678 0.2579 0.7803
N: 0.8678 0.7421 0.2803
N: 0.9817 0.3922 0.1395
N: 0.9817 0.6078 0.6395

***

[2]
Computed powder diffraction line list of Rb2In3Pb5 for Cu Kα (weighted mean of Kα1 and Kα2), from a DFT-relaxed cell (GGA-PBE, Alexandria).

Top 6 peaks for 10° ≤ 2θ ≤ 90°, sorted by position:
2θ (°)	Rel. int.
26.51	51
27.39	67
27.54	67
33.86	100
36.46	51
36.58	48

Crystal structure
Unit cell a=10.6028 b=10.6028 c=10.6028 alpha=103.99 beta=90.54 gamma=138.50
Atoms (fractional coordinates):
Rb: 0.1286 0.2489 0.3775
Rb: 0.3714 0.7489 0.1203
Rb: 0.6286 0.2511 0.8797
Rb: 0.8714 0.7511 0.6225
In: 0.1218 0.6319 0.7538
In: 0.2500 0.2500 0.0000
In: 0.3782 0.1319 0.5101
In: 0.6218 0.8681 0.4899
In: 0.7500 0.7500 0.0000
In: 0.8782 0.3681 0.2462
Pb: 0.0033 0.7500 0.2533
Pb: 0.1176 0.8677 0.9853
Pb: 0.2500 0.7500 0.5000
Pb: 0.3824 0.3677 0.7502
Pb: 0.4967 0.7500 0.7467
Pb: 0.5033 0.2500 0.2533
Pb: 0.6176 0.6323 0.2498
Pb: 0.7500 0.2500 0.5000
Pb: 0.8824 0.1323 0.0147
Pb: 0.9967 0.2500 0.7467

***

[3]
Computed powder diffraction line list of PmSi4 for Cu Kα (weighted mean of Kα1 and Kα2), from a DFT-relaxed cell (GGA-PBE, Alexandria).

Top 6 peaks for 10° ≤ 2θ ≤ 90°, sorted by position:
2θ (°)	Rel. int.
16.65	100
23.63	88
33.66	56
37.78	52
41.54	40
48.34	40

Crystal structure
Unit cell a=5.3250 b=5.3250 c=5.3250 alpha=90.00 beta=90.00 gamma=90.00
Atoms (fractional coordinates):
Pm: 0.0000 0.0000 0.0000
Si: 0.0000 0.0000 0.5000
Si: 0.0000 0.5000 0.0000
Si: 0.5000 0.0000 0.0000
Si: 0.5000 0.5000 0.5000

***

[4]
Computed powder diffraction line list of Sm3B7Ru for Cu Kα (weighted mean of Kα1 and Kα2), from a DFT-relaxed cell (GGA-PBE, Alexandria).

Top 6 peaks for 10° ≤ 2θ ≤ 90°, sorted by position:
2θ (°)	Rel. int.
25.48	95
29.08	86
30.35	74
33.38	43
38.37	100
38.78	54

Crystal structure
Unit cell a=8.2494 b=8.2494 c=9.4930 alpha=90.00 beta=90.00 gamma=154.93
Atoms (fractional coordinates):
Sm: 0.1048 0.8952 0.5614
Sm: 0.1048 0.8952 0.9386
Sm: 0.2443 0.7557 0.2500
Sm: 0.7557 0.2443 0.7500
Sm: 0.8952 0.1048 0.0614
Sm: 0.8952 0.1048 0.4386
B: 0.2734 0.7266 0.5332
B: 0.2734 0.7266 0.9668
B: 0.3686 0.6314 0.6523
B: 0.3686 0.6314 0.8477
B: 0.4626 0.5374 0.2500
B: 0.4770 0.5230 0.5988
B: 0.4770 0.5230 0.9012
B: 0.5230 0.4770 0.0988
B: 0.5230 0.4770 0.4012
B: 0.5374 0.4626 0.7500
B: 0.6314 0.3686 0.1523
B: 0.6314 0.3686 0.3477
B: 0.7266 0.2734 0.0332
B: 0.7266 0.2734 0.4668
Ru: 0.0560 0.9440 0.2500
Ru: 0.9440 0.0560 0.7500

***

Please write out number 3 again, unchanged.
Computed powder diffraction line list of PmSi4 for Cu Kα (weighted mean of Kα1 and Kα2), from a DFT-relaxed cell (GGA-PBE, Alexandria).

Top 6 peaks for 10° ≤ 2θ ≤ 90°, sorted by position:
2θ (°)	Rel. int.
16.65	100
23.63	88
33.66	56
37.78	52
41.54	40
48.34	40

Crystal structure
Unit cell a=5.3250 b=5.3250 c=5.3250 alpha=90.00 beta=90.00 gamma=90.00
Atoms (fractional coordinates):
Pm: 0.0000 0.0000 0.0000
Si: 0.0000 0.0000 0.5000
Si: 0.0000 0.5000 0.0000
Si: 0.5000 0.0000 0.0000
Si: 0.5000 0.5000 0.5000